Structure and theoretical PXRD pattern of Li6Ti2O7 (a structure optimized by DFT (GGA-PBE); Cu Kα).
Intensities are scaled so that the largest is 100.

a b c (Å): 5.8115 5.8115 9.7888
angles (deg): 99.76 99.76 59.84
Positions (direct):
Li: 0.0783 0.3299 0.8868
Li: 0.0785 0.7929 0.9033
Li: 0.2071 0.9215 0.5967
Li: 0.3292 0.5290 0.3896
Li: 0.3299 0.0783 0.3868
Li: 0.4710 0.6708 0.1104
Li: 0.5290 0.3292 0.8896
Li: 0.6701 0.9217 0.6132
Li: 0.6708 0.4710 0.6104
Li: 0.7929 0.0785 0.4033
Li: 0.9215 0.2071 0.0967
Li: 0.9217 0.6701 0.1132
Ti: 0.2036 0.4285 0.6309
Ti: 0.4285 0.2036 0.1309
Ti: 0.5715 0.7964 0.8691
Ti: 0.7964 0.5715 0.3691
O: 0.0013 0.2716 0.5022
O: 0.1415 0.3551 0.2495
O: 0.2608 0.4954 0.0271
O: 0.2716 0.0013 0.0022
O: 0.3462 0.6538 0.7500
O: 0.3551 0.1415 0.7495
O: 0.4954 0.2608 0.5271
O: 0.5046 0.7392 0.4729
O: 0.6449 0.8585 0.2505
O: 0.6538 0.3462 0.2500
O: 0.7284 0.9987 0.9978
O: 0.7392 0.5046 0.9729
O: 0.8585 0.6449 0.7505
O: 0.9987 0.7284 0.4978

Largest 8 diffraction maxima, low angle first, 10° ≤ 2θ ≤ 90°:
| 2θ (°) | Rel. int. |
| --- | --- |
| 17.74 | 40 |
| 17.96 | 71 |
| 19.19 | 80 |
| 24.40 | 57 |
| 28.35 | 29 |
| 43.68 | 100 |
| 44.41 | 48 |
| 64.11 | 26 |

=====

Structure and theoretical PXRD pattern of LiTi8O13 (a structure optimized by DFT (GGA-PBE); Cu Kα).
Intensities are scaled so that the largest is 100.

a b c (Å): 6.4873 6.4873 6.4873
angles (deg): 73.80 73.80 73.80
Positions (direct):
Li: 0.0000 0.0000 0.0000
Ti: 0.1827 0.6246 0.4498
Ti: 0.2279 0.2279 0.2279
Ti: 0.3754 0.5502 0.8173
Ti: 0.4498 0.1827 0.6246
Ti: 0.5502 0.8173 0.3754
Ti: 0.6246 0.4498 0.1827
Ti: 0.7721 0.7721 0.7721
Ti: 0.8173 0.3754 0.5502
O: 0.0796 0.6803 0.7649
O: 0.1434 0.2939 0.5470
O: 0.2351 0.9204 0.3197
O: 0.2938 0.5470 0.1434
O: 0.3197 0.2351 0.9204
O: 0.4530 0.8566 0.7062
O: 0.5000 0.5000 0.5000
O: 0.5470 0.1434 0.2938
O: 0.6803 0.7649 0.0796
O: 0.7062 0.4530 0.8566
O: 0.7649 0.0796 0.6803
O: 0.8566 0.7062 0.4530
O: 0.9204 0.3197 0.2351

Largest 8 diffraction maxima, low angle first, 10° ≤ 2θ ≤ 90°:
| 2θ (°) | Rel. int. |
| --- | --- |
| 14.57 | 88 |
| 27.19 | 21 |
| 29.86 | 52 |
| 34.63 | 12 |
| 37.53 | 13 |
| 43.90 | 100 |
| 63.15 | 28 |
| 64.50 | 21 |

=====

Structure and theoretical PXRD pattern of Li5Ti3O8 (a structure optimized by DFT (GGA-PBE); Cu Kα).
Intensities are scaled so that the largest is 100.

a b c (Å): 5.9451 5.9451 5.9451
angles (deg): 59.61 59.61 59.61
Positions (direct):
Li: 0.0000 0.0000 0.0000
Li: 0.0000 0.5000 0.5000
Li: 0.5000 0.0000 0.5000
Li: 0.5000 0.5000 0.0000
Li: 0.5000 0.5000 0.5000
Ti: 0.0000 0.0000 0.5000
Ti: 0.0000 0.5000 0.0000
Ti: 0.5000 0.0000 0.0000
O: 0.2255 0.7504 0.7504
O: 0.2449 0.2449 0.2449
O: 0.2496 0.2496 0.7745
O: 0.2496 0.7745 0.2496
O: 0.7504 0.2255 0.7504
O: 0.7504 0.7504 0.2255
O: 0.7551 0.7551 0.7551
O: 0.7745 0.2496 0.2496

Largest 8 diffraction maxima, low angle first, 10° ≤ 2θ ≤ 90°:
| 2θ (°) | Rel. int. |
| --- | --- |
| 18.22 | 87 |
| 18.37 | 29 |
| 21.20 | 16 |
| 35.60 | 39 |
| 43.17 | 100 |
| 62.49 | 26 |
| 62.90 | 26 |
| 66.09 | 13 |

=====

Structure and theoretical PXRD pattern of LiTi6O12 (a structure optimized by DFT (GGA-PBE); Cu Kα).
Intensities are scaled so that the largest is 100.

a b c (Å): 5.8619 9.6070 7.8021
angles (deg): 90.00 99.68 90.00
Positions (direct):
Li: 0.0421 0.0000 0.2293
Li: 0.9579 0.5000 0.7707
Ti: 0.0288 0.3305 0.2363
Ti: 0.1425 0.6091 0.4244
Ti: 0.1926 0.1004 0.9006
Ti: 0.3256 0.8183 0.0865
Ti: 0.3640 0.3260 0.5663
Ti: 0.4781 0.6004 0.7620
Ti: 0.5219 0.1004 0.2380
Ti: 0.6360 0.8260 0.4337
Ti: 0.6744 0.3183 0.9135
Ti: 0.8074 0.6004 0.0994
Ti: 0.8575 0.1091 0.5756
Ti: 0.9712 0.8305 0.7637
O: 0.0382 0.9280 0.9875
O: 0.0545 0.2354 0.4722
O: 0.1163 0.6925 0.1919
O: 0.1281 0.9994 0.6857
O: 0.2049 0.4980 0.6487
O: 0.2065 0.1801 0.1465
O: 0.2810 0.7352 0.8555
O: 0.2982 0.4293 0.3509
O: 0.3624 0.9283 0.3123
O: 0.3785 0.2390 0.8069
O: 0.4482 0.6896 0.5253
O: 0.4661 0.9986 0.0168
O: 0.5339 0.4986 0.9832
O: 0.5518 0.1896 0.4747
O: 0.6215 0.7390 0.1931
O: 0.6376 0.4283 0.6877
O: 0.7018 0.9293 0.6491
O: 0.7190 0.2352 0.1445
O: 0.7935 0.6801 0.8535
O: 0.7951 0.9980 0.3513
O: 0.8719 0.4994 0.3143
O: 0.8837 0.1925 0.8081
O: 0.9455 0.7354 0.5278
O: 0.9618 0.4280 0.0125

Largest 8 diffraction maxima, low angle first, 10° ≤ 2θ ≤ 90°:
| 2θ (°) | Rel. int. |
| --- | --- |
| 19.88 | 100 |
| 33.13 | 32 |
| 35.46 | 19 |
| 36.25 | 23 |
| 39.84 | 20 |
| 51.12 | 26 |
| 52.62 | 14 |
| 60.17 | 16 |

=====

Structure and theoretical PXRD pattern of Li7Ti5O12 (a structure optimized by DFT (GGA-PBE); Cu Kα).
Intensities are scaled so that the largest is 100.

a b c (Å): 5.0809 5.0809 9.9818
angles (deg): 94.84 94.84 120.01
Positions (direct):
Li: 0.0000 0.0000 0.0000
Li: 0.0783 0.4104 0.2443
Li: 0.2458 0.2458 0.7569
Li: 0.4104 0.0783 0.2443
Li: 0.5896 0.9217 0.7557
Li: 0.7542 0.7542 0.2431
Li: 0.9217 0.5896 0.7557
Ti: 0.1711 0.8289 0.5000
Ti: 0.3333 0.6667 0.0000
Ti: 0.5000 0.5000 0.5000
Ti: 0.6667 0.3333 0.0000
Ti: 0.8289 0.1711 0.5000
O: 0.0377 0.6829 0.1131
O: 0.1265 0.1265 0.3786
O: 0.2019 0.5444 0.6187
O: 0.3171 0.9623 0.8869
O: 0.3919 0.3919 0.1130
O: 0.4556 0.7981 0.3813
O: 0.5444 0.2019 0.6187
O: 0.6081 0.6081 0.8870
O: 0.6829 0.0377 0.1131
O: 0.7981 0.4556 0.3813
O: 0.8735 0.8735 0.6214
O: 0.9623 0.3171 0.8869

Largest 8 diffraction maxima, low angle first, 10° ≤ 2θ ≤ 90°:
| 2θ (°) | Rel. int. |
| --- | --- |
| 18.03 | 94 |
| 35.87 | 35 |
| 43.24 | 100 |
| 56.74 | 13 |
| 62.19 | 27 |
| 63.42 | 26 |
| 66.53 | 12 |
| 79.87 | 12 |

=====

Structure and theoretical PXRD pattern of Li3Ti4O8 (a structure optimized by DFT (GGA-PBE); Cu Kα).
Intensities are scaled so that the largest is 100.

a b c (Å): 4.9387 5.8022 4.9862
angles (deg): 90.00 90.84 90.00
Positions (direct):
Li: 0.0000 0.0000 0.0000
Li: 0.0000 0.4931 0.0000
Li: 0.5000 0.3268 0.5000
Ti: 0.0000 0.0155 0.5000
Ti: 0.0000 0.5414 0.5000
Ti: 0.5000 0.2638 0.0000
Ti: 0.5000 0.7712 0.0000
O: 0.1743 0.7730 0.2593
O: 0.1821 0.2751 0.2744
O: 0.3133 0.0248 0.7801
O: 0.3162 0.5154 0.7773
O: 0.6838 0.5154 0.2227
O: 0.6867 0.0248 0.2199
O: 0.8179 0.2751 0.7256
O: 0.8257 0.7730 0.7407

Largest 8 diffraction maxima, low angle first, 10° ≤ 2θ ≤ 90°:
| 2θ (°) | Rel. int. |
| --- | --- |
| 25.20 | 98 |
| 25.57 | 93 |
| 35.85 | 100 |
| 40.48 | 30 |
| 51.57 | 41 |
| 51.75 | 53 |
| 51.98 | 46 |
| 65.16 | 31 |

=====

Structure and theoretical PXRD pattern of Li3Ti4O8 (a structure optimized by DFT (GGA-PBE); Cu Kα).
Intensities are scaled so that the largest is 100.

a b c (Å): 5.8770 5.8770 5.7995
angles (deg): 119.50 119.50 59.21
Positions (direct):
Li: 0.0000 0.0000 0.0000
Li: 0.0000 0.5000 0.5000
Li: 0.5000 0.0000 0.5000
Ti: 0.0000 0.0000 0.5000
Ti: 0.0000 0.5000 0.0000
Ti: 0.5000 0.0000 0.0000
Ti: 0.5000 0.5000 0.0000
O: 0.2418 0.7503 0.2419
O: 0.2442 0.2442 0.2160
O: 0.2499 0.2499 0.7442
O: 0.2497 0.7582 0.7581
O: 0.7503 0.2418 0.2419
O: 0.7501 0.7501 0.2558
O: 0.7558 0.7558 0.7840
O: 0.7582 0.2497 0.7581

Largest 8 diffraction maxima, low angle first, 10° ≤ 2θ ≤ 90°:
| 2θ (°) | Rel. int. |
| --- | --- |
| 18.57 | 84 |
| 21.66 | 55 |
| 30.41 | 44 |
| 36.21 | 23 |
| 42.95 | 55 |
| 44.14 | 100 |
| 63.29 | 56 |
| 64.19 | 26 |

=====

Structure and theoretical PXRD pattern of Li3Ti8O16 (a structure optimized by DFT (GGA-PBE); Cu Kα).
Intensities are scaled so that the largest is 100.

a b c (Å): 5.9747 5.9747 8.4488
angles (deg): 90.00 90.00 90.00
Positions (direct):
Li: 0.0000 0.0000 0.0000
Li: 0.0000 0.5000 0.2516
Li: 0.5000 0.0000 0.7484
Ti: 0.0000 0.2541 0.6227
Ti: 0.0000 0.7459 0.6227
Ti: 0.2515 0.5000 0.8709
Ti: 0.2541 0.0000 0.3773
Ti: 0.5000 0.2515 0.1291
Ti: 0.5000 0.7485 0.1291
Ti: 0.7459 0.0000 0.3773
Ti: 0.7485 0.5000 0.8709
O: 0.0000 0.2237 0.3871
O: 0.0000 0.2746 0.8627
O: 0.0000 0.7254 0.8627
O: 0.0000 0.7763 0.3871
O: 0.2199 0.5000 0.6404
O: 0.2237 0.0000 0.6129
O: 0.2746 0.0000 0.1373
O: 0.2747 0.5000 0.1114
O: 0.5000 0.2199 0.3596
O: 0.5000 0.2747 0.8886
O: 0.5000 0.7253 0.8886
O: 0.5000 0.7801 0.3596
O: 0.7254 0.0000 0.1373
O: 0.7253 0.5000 0.1114
O: 0.7763 0.0000 0.6129
O: 0.7801 0.5000 0.6404

Largest 8 diffraction maxima, low angle first, 10° ≤ 2θ ≤ 90°:
| 2θ (°) | Rel. int. |
| --- | --- |
| 18.19 | 100 |
| 35.23 | 41 |
| 42.81 | 58 |
| 46.87 | 8 |
| 56.60 | 19 |
| 62.15 | 33 |
| 65.34 | 13 |
| 78.42 | 8 |